Diffraction record for ReBr4Cl. The XRD peak list is theoretical, not measured: it uses the PBE geometry in OQMD and Cu Kα (λ = 1.5418 Å).

Most intense lines, 10° ≤ 2θ ≤ 90°, most intense first:
6.107 Å, I = 100, hkl 0 1 -1
2.916 Å, I = 77, hkl 1 1 1
2.844 Å, I = 77, hkl 2 -2 1
2.887 Å, I = 75, hkl 1 0 -3
5.816 Å, I = 75, hkl 1 0 0
5.671 Å, I = 61, hkl 1 -1 0
5.203 Å, I = 55, hkl 1 -1 1
1.885 Å, I = 49, hkl -3 2 2
4.476 Å, I = 39, hkl -1 1 1
2.238 Å, I = 33, hkl 1 1 -4

```
data_ReBr4Cl
_cell_length_a 6.555
_cell_length_b 7.100
_cell_length_c 9.647
_cell_angle_alpha 108.83
_cell_angle_beta 91.18
_cell_angle_gamma 115.45
_symmetry_space_group_name_H-M 'P -1'
_symmetry_Int_Tables_number 2
_symmetry_space_group_name_Hall '-P 1'
loop_
_atom_site_label
_atom_site_type_symbol
_atom_site_fract_x
_atom_site_fract_y
_atom_site_fract_z
Re1 Re 0.100 0.208 0.212
Br1 Br 0.067 0.817 0.570
Br2 Br 0.120 0.620 0.853
Br3 Br 0.242 0.183 0.956
Br4 Br 0.437 0.565 0.336
Cl1 Cl 0.291 0.012 0.239
```